Entry 1:
Diffraction record for Pa6Cu3Se14. The powder XRD pattern is calculated, not measured: it uses a DFT-relaxed cell (PBE, Alexandria) and copper Kα.

Top 10 peaks for 2θ = 10–90°, by angle:
- 2θ = 18.05°, I = 53.8
- 2θ = 25.21°, I = 100.0
- 2θ = 30.84°, I = 32.0
- 2θ = 34.12°, I = 75.3
- 2θ = 35.35°, I = 89.4
- 2θ = 36.56°, I = 61.2
- 2θ = 39.97°, I = 46.4
- 2θ = 40.79°, I = 71.8
- 2θ = 47.60°, I = 34.1
- 2θ = 49.95°, I = 44.4

```
Pa6Cu3Se14
1.0
10.1563 0.0000 0.0000
-5.0781 8.7956 0.0000
0.0000 0.0000 5.9279
Pa Cu Se
6 3 14
direct
0.0391 0.4821 0.0000
0.2905 0.1822 0.5050
0.4430 0.9609 0.0000
0.5179 0.5570 0.0000
0.8178 0.1084 0.5050
0.8916 0.7094 0.5050
0.0000 0.0000 0.1391
0.3333 0.6667 0.6354
0.6667 0.3333 0.4764
0.0000 0.0000 0.7316
0.1021 0.2574 0.2556
0.1553 0.8979 0.2556
0.1779 0.7689 0.7559
0.2311 0.4090 0.7559
0.3333 0.6667 0.2271
0.4156 0.2295 0.9863
0.5121 0.0692 0.4891
0.5571 0.4879 0.4891
0.5910 0.8221 0.7559
0.7426 0.8447 0.2556
0.7705 0.1861 0.9863
0.8139 0.5844 0.9863
0.9308 0.4429 0.4891
```



Entry 2:
Diffraction record for SrIn4. The powder XRD pattern is calculated, not measured: it uses a DFT-relaxed cell (PBE, Alexandria) and copper Kα.

Top 10 peaks for 2θ = 10–90°, by angle:
- 2θ = 29.38°, I = 20.2
- 2θ = 29.59°, I = 100.0
- 2θ = 31.92°, I = 49.9
- 2θ = 32.03°, I = 15.4
- 2θ = 33.36°, I = 17.3
- 2θ = 34.03°, I = 14.7
- 2θ = 34.90°, I = 54.4
- 2θ = 40.44°, I = 17.3
- 2θ = 40.56°, I = 15.8
- 2θ = 60.72°, I = 23.0

```
SrIn4
1.0
6.1193 -2.5708 0.0000
6.1193 2.5708 0.0000
-4.1262 0.0000 9.2591
Sr In
2 8
direct
0.1609 0.1609 0.2061
0.8391 0.8391 0.7939
0.1543 0.1543 0.5533
0.1586 0.1586 0.8505
0.4233 0.4233 0.0775
0.4363 0.4363 0.6037
0.5637 0.5637 0.3963
0.5767 0.5767 0.9225
0.8414 0.8414 0.1495
0.8457 0.8457 0.4467
```



Entry 3:
Diffraction record for Cd7Hg4Bi. The powder XRD pattern is calculated, not measured: it uses a DFT-relaxed cell (PBE, Alexandria) and copper Kα.

Top 10 peaks for 2θ = 10–90°, by angle:
- 2θ = 15.14°, I = 7.4
- 2θ = 32.67°, I = 100.0
- 2θ = 36.86°, I = 18.9
- 2θ = 39.18°, I = 55.7
- 2θ = 53.71°, I = 26.4
- 2θ = 59.43°, I = 11.2
- 2θ = 64.30°, I = 14.1
- 2θ = 66.92°, I = 19.5
- 2θ = 68.47°, I = 10.6
- 2θ = 88.53°, I = 12.4

```
Cd7Hg4Bi
1.0
3.4133 0.0000 0.0000
-1.7067 2.9560 0.0000
0.0000 0.0000 29.2620
Cd Hg Bi
7 4 1
direct
0.0000 0.0000 0.0000
0.0000 0.0000 0.2431
0.0000 0.0000 0.7569
0.3333 0.6667 0.1618
0.3333 0.6667 0.4050
0.6667 0.3333 0.5950
0.6667 0.3333 0.8382
0.3333 0.6667 0.6760
0.3333 0.6667 0.9191
0.6667 0.3333 0.0809
0.6667 0.3333 0.3240
0.0000 0.0000 0.5000
```



Entry 4:
Diffraction record for LaTaNbGe2. The powder XRD pattern is calculated, not measured: it uses a DFT-relaxed cell (PBE, Alexandria) and copper Kα.

Top 10 peaks for 2θ = 10–90°, by angle:
- 2θ = 29.09°, I = 14.4
- 2θ = 30.75°, I = 31.4
- 2θ = 33.98°, I = 100.0
- 2θ = 42.73°, I = 20.0
- 2θ = 42.84°, I = 23.3
- 2θ = 43.82°, I = 39.3
- 2θ = 54.76°, I = 13.0
- 2θ = 62.95°, I = 14.7
- 2θ = 63.71°, I = 12.8
- 2θ = 74.21°, I = 20.5

```
LaTaNbGe2
1.0
4.1317 0.0000 0.0000
0.0000 4.1317 0.0000
0.0000 0.0000 12.2794
La Ta Nb Ge
2 2 2 4
direct
0.0000 0.0000 0.0000
0.5000 0.5000 0.5000
0.0000 0.5000 0.2500
0.5000 0.0000 0.7500
0.0000 0.5000 0.7500
0.5000 0.0000 0.2500
0.0000 0.0000 0.3929
0.0000 0.0000 0.6071
0.5000 0.5000 0.1071
0.5000 0.5000 0.8929
```